Computed powder XRD pattern of La2TaSnN5 for copper Kα, from DFT lattice parameters and positions (PBE).

Most intense lines, 5 to 70 degrees two-theta, sorted by position:
d (Å)	intensity
3.228	283
2.988	1000
2.800	514
2.746	486
2.712	346
2.662	294
2.425	518
2.331	207
1.930	241
1.703	236
1.663	283
1.464	246

Cell and atoms:
Lattice parameters (Å, degrees): 3.3574 14.3207 10.8498 90.00 90.00 90.00
Space group Cmc2_1 (No. 36)
Asymmetric unit:
La (0.0000, 0.1174, 0.0000)
La (0.0000, 0.1347, 0.5718)
Ta (0.0000, 0.2274, 0.2965)
Sn (0.0000, 0.4832, 0.7643)
N (0.0000, 0.0688, 0.3464)
N (0.0000, 0.2792, 0.9310)
N (0.0000, 0.2962, 0.6767)
N (0.0000, 0.3649, 0.2976)
N (0.0000, 0.5000, 0.0752)